# 1
Structure and simulated powder diffractogram of TaMnHI2 (a PBE-relaxed structure; Cu Kα (λ = 1.5418 Å)).
Lines closer than 0.1° are merged.

Peak list (8 most intense, 2θ from 10° to 90°, by angle)
two_theta  I/Imax  h k l
17.29  18  1 0 0
29.99  9  1 0 1
34.82  100  1 1 1
35.00  50  2 0 0
50.33  18  2 2 0
62.32  18  2 0 2
62.66  36  3 1 1
73.52  11  2 2 2

Cell and atoms:
Unit cell a=5.128 b=5.128 c=3.661 alpha=90.00 beta=90.00 gamma=90.00
Space group P4/mmm (No. 123)
Inequivalent atoms, fractional coordinates:
Ta  0.000  0.000  0.000
Mn  0.500  0.500  0.000
H  0.000  0.000  0.500
I  0.000  0.500  0.500

# 2
Structure and simulated powder diffractogram of MoHI (a PBE-relaxed structure; Cu Kα (λ = 1.5418 Å)).
Lines closer than 0.1° are merged.

Peak list (8 most intense, 2θ from 10° to 90°, by angle)
two_theta  I/Imax  h k l
10.87  100  2 0 0
22.98  53  2 3 1
25.48  55  1 4 1
29.90  73  3 4 1
31.90  35  2 5 1
36.95  69  1 5 2
39.92  63  4 6 0
41.24  42  3 2 3

Cell and atoms:
Unit cell a=16.285 b=16.285 c=7.508 alpha=90.00 beta=90.00 gamma=90.00
Space group I4_1/a (No. 88, origin choice 2)
Inequivalent atoms, fractional coordinates:
Mo  0.143  0.013  0.427
Mo  0.179  0.490  0.174
H  0.146  0.424  0.422
H  0.150  0.459  0.785
I  0.018  0.069  0.678
I  0.098  0.142  0.200